1.
This entry pairs a crystal structure of NaIF6 with its simulated XRD peak list. Radiation: copper Kα. Structure: a structure optimized by DFT (GGA-PBE).
Neutral-atom scattering factors, no anomalous dispersion.

Cell and atoms:
```
data_NaIF6
_chemical_formula_sum 'Na2 I2 F12'
_space_group_name_H-M_alt 'P -3 1 c'
_space_group_IT_number 163
_space_group_name_Hall '-P 3 2c'
_cell_length_a 5.5107
_cell_length_b 5.5107
_cell_length_c 10.4591
_cell_angle_alpha 90.00
_cell_angle_beta 90.00
_cell_angle_gamma 120.00
loop_
_atom_site_label
_atom_site_fract_x
_atom_site_fract_y
_atom_site_fract_z
Na1 0.3333 0.6667 0.2500
I1 0.0000 0.0000 0.0000
F1 0.0268 0.3086 0.1122
```

Main lines, most intense first (10° ≤ 2θ ≤ 90°):
| 2θ (°) | d (Å) | intensity |
| --- | --- | --- |
| 25.3 | 3.525 | 100.0 |
| 18.6 | 4.772 | 91.4 |
| 48.0 | 1.897 | 34.4 |
| 17.0 | 5.230 | 32.1 |
| 36.9 | 2.438 | 31.8 |
| 53.8 | 1.705 | 24.1 |
| 41.6 | 2.171 | 23.3 |
| 39.3 | 2.293 | 14.7 |

=====

2.
This entry pairs a crystal structure of Y2Al12Pd7 with its simulated XRD peak list. Radiation: copper Kα. Structure: a structure optimized by DFT (GGA-PBE).
Neutral-atom scattering factors, no anomalous dispersion.

Cell and atoms:
```
data_Y2Al12Pd7
_chemical_formula_sum 'Y2 Al12 Pd7'
_space_group_name_H-M_alt 'P -6'
_space_group_IT_number 174
_cell_length_a 9.8884
_cell_length_b 9.8884
_cell_length_c 4.2032
_cell_angle_alpha 90.00
_cell_angle_beta 90.00
_cell_angle_gamma 120.00
loop_
_space_group_symop_operation_xyz
'x,y,z'
'-x+y,-x,-z'
'-y,x-y,z'
'x,y,-z'
'-x+y,-x,z'
'-y,x-y,-z'
loop_
_atom_site_label
_atom_site_fract_x
_atom_site_fract_y
_atom_site_fract_z
Y1 0.0000 0.0000 0.0000
Y2 0.3333 0.6667 0.5000
Al1 0.0162 0.7336 0.5000
Al2 0.1541 0.3875 0.0000
Al3 0.3718 0.1707 0.0000
Al4 0.5422 0.1303 0.5000
Pd1 0.0208 0.5580 0.0000
Pd2 0.2431 0.0065 0.5000
Pd3 0.6667 0.3333 0.0000
```

Main lines, most intense first (10° ≤ 2θ ≤ 90°):
| 2θ (°) | d (Å) | intensity |
| --- | --- | --- |
| 29.8 | 3.000 | 100.0 |
| 35.0 | 2.564 | 89.3 |
| 27.6 | 3.237 | 76.6 |
| 42.4 | 2.131 | 69.1 |
| 43.8 | 2.068 | 61.4 |
| 43.0 | 2.102 | 52.8 |
| 27.9 | 3.202 | 40.8 |
| 36.3 | 2.472 | 35.0 |

=====

3.
This entry pairs a crystal structure of HoTmSbO2 with its simulated XRD peak list. Radiation: copper Kα. Structure: a structure optimized by DFT (GGA-PBE).
Neutral-atom scattering factors, no anomalous dispersion.

Cell and atoms:
```
data_HoTmSbO2
_chemical_formula_sum 'Ho2 Tm2 Sb2 O4'
_space_group_name_H-M_alt 'I 4 m m'
_space_group_IT_number 107
_space_group_name_Hall 'I 4 -2'
_cell_length_a 3.820
_cell_length_b 3.820
_cell_length_c 13.234
_cell_angle_alpha 90.00
_cell_angle_beta 90.00
_cell_angle_gamma 90.00
loop_
_atom_site_label
_atom_site_fract_x
_atom_site_fract_y
_atom_site_fract_z
Ho1 0.000 0.000 0.000
Tm1 0.000 0.000 0.333
Sb1 0.000 0.000 0.667
O1 0.000 0.500 0.415
```

Main lines, most intense first (10° ≤ 2θ ≤ 90°):
| 2θ (°) | d (Å) | intensity |
| --- | --- | --- |
| 31.0 | 2.888 | 100.0 |
| 33.2 | 2.701 | 35.7 |
| 57.9 | 1.593 | 33.9 |
| 53.6 | 1.708 | 24.1 |
| 47.6 | 1.910 | 17.3 |
| 87.5 | 1.114 | 11.0 |
| 64.5 | 1.444 | 10.9 |
| 68.4 | 1.372 | 10.3 |

=====

Please write out number 2 again, unchanged.
This entry pairs a crystal structure of Y2Al12Pd7 with its simulated XRD peak list. Radiation: copper Kα. Structure: a structure optimized by DFT (GGA-PBE).
Neutral-atom scattering factors, no anomalous dispersion.

Cell and atoms:
```
data_Y2Al12Pd7
_chemical_formula_sum 'Y2 Al12 Pd7'
_space_group_name_H-M_alt 'P -6'
_space_group_IT_number 174
_cell_length_a 9.8884
_cell_length_b 9.8884
_cell_length_c 4.2032
_cell_angle_alpha 90.00
_cell_angle_beta 90.00
_cell_angle_gamma 120.00
loop_
_space_group_symop_operation_xyz
'x,y,z'
'-x+y,-x,-z'
'-y,x-y,z'
'x,y,-z'
'-x+y,-x,z'
'-y,x-y,-z'
loop_
_atom_site_label
_atom_site_fract_x
_atom_site_fract_y
_atom_site_fract_z
Y1 0.0000 0.0000 0.0000
Y2 0.3333 0.6667 0.5000
Al1 0.0162 0.7336 0.5000
Al2 0.1541 0.3875 0.0000
Al3 0.3718 0.1707 0.0000
Al4 0.5422 0.1303 0.5000
Pd1 0.0208 0.5580 0.0000
Pd2 0.2431 0.0065 0.5000
Pd3 0.6667 0.3333 0.0000
```

Main lines, most intense first (10° ≤ 2θ ≤ 90°):
| 2θ (°) | d (Å) | intensity |
| --- | --- | --- |
| 29.8 | 3.000 | 100.0 |
| 35.0 | 2.564 | 89.3 |
| 27.6 | 3.237 | 76.6 |
| 42.4 | 2.131 | 69.1 |
| 43.8 | 2.068 | 61.4 |
| 43.0 | 2.102 | 52.8 |
| 27.9 | 3.202 | 40.8 |
| 36.3 | 2.472 | 35.0 |

=====

- Which formula does entry 2 have?
  Y2Al12Pd7

=====

- Number 1 is which compound?
  NaIF6